The following is a calculated XRD peak list of Cs4IBrO. It was derived from a GGA-PBE-relaxed structure, using Cu Kα.

Structure:
```
14
Lattice="8.6443 0.0000 0.0000 0.0000 8.1474 0.0000 -3.3575 0.0000 10.2426" Properties=species:S:1:pos:R:3 pbc="T T T"
Cs -0.7041 0.0601 2.7072
Cs -0.7041 4.0136 2.7072
Cs 3.0143 2.0369 1.5234
Cs 1.7214 2.0369 5.7726
Cs 3.5654 6.1106 4.4700
Cs 2.2726 6.1106 8.7192
Cs 5.9910 4.1338 7.5354
Cs 5.9910 8.0874 7.5354
I 2.0696 6.1106 0.5997
I 3.2173 2.0369 9.6430
Br 0.0856 6.1106 5.7394
Br 5.2013 2.0369 4.5033
O 0.9528 2.0369 3.2425
O 4.3341 6.1106 7.0001
```

Largest 12 diffraction maxima, low angle first, 5 to 70 degrees two-theta:
2θ (°)  I/Imax  index
23.16  100  2 0 -2
24.39  66  1 2 0
25.64  51  1 1 2
27.99  86  1 2 -2
30.92  20  2 2 0
33.25  23  1 0 -4
34.56  23  3 1 0
38.98  18  3 2 -2
41.66  18  2 2 -4
46.04  18  3 2 -4
50.73  23  2 4 -2
56.27  16  1 2 -6